Diffraction record for Pm4Sm3Ho2. The X-ray diffraction stick pattern is computed, not measured: it uses a structure optimized by DFT (PBE) and Cu Kα (λ = 1.5418 Å).

Top 8 peaks for 5 to 70 degrees two-theta, low angle first:
hkl	2θ/deg	d [Å]	intensity
1 1 2	30.30	2.950	100
2 0 4	35.13	2.555	51
0 2 0	50.42	1.810	6
5 1 1	50.55	1.806	30
5 1 -8	60.01	1.542	22
6 0 3	60.11	1.539	21
2 2 4	62.96	1.476	6
8 0 -2	63.09	1.474	6

Structural model:
Cell lengths 11.9656, 3.6195, 14.8921 Å; angles 90.00, 111.48, 90.00 degrees
Space group C2/m (No. 12)
Symmetry-distinct sites (fractional):
Pm (0.1680, 0.0000, 0.1675)
Pm (0.2213, 0.5000, 0.3886)
Sm (0.0000, 0.5000, 0.5000)
Sm (0.1107, 0.5000, 0.9435)
Ho (0.0554, 0.0000, 0.7220)